The following is a simulated PXRD pattern of Hf2Sc3Cd2. It was derived from a crystal structure in Alexandria, relaxed with PBE, using Cu Kα (λ = 1.5418 Å).
Kinematic intensities with the Lorentz-polarization factor, no thermal factor.

Structure:
```
data_Hf2Sc3Cd2
_chemical_formula_sum 'Hf2 Sc3 Cd2'
_cell_length_a 10.841
_cell_length_b 10.841
_cell_length_c 3.100
_cell_angle_alpha 90.00
_cell_angle_beta 90.00
_cell_angle_gamma 154.09
_symmetry_space_group_name_H-M 'P 1'
_symmetry_Int_Tables_number 1
loop_
_symmetry_equiv_pos_as_xyz
'x,y,z'
loop_
_atom_site_label
_atom_site_type_symbol
_atom_site_fract_x
_atom_site_fract_y
_atom_site_fract_z
_atom_site_occupancy
Hf1 Hf 0.220 0.780 0.000 1
Hf2 Hf 0.780 0.220 0.000 1
Sc1 Sc 0.350 0.650 0.500 1
Sc2 Sc 0.500 0.500 0.500 1
Sc3 Sc 0.650 0.350 0.500 1
Cd1 Cd 0.072 0.928 0.000 1
Cd2 Cd 0.928 0.072 0.000 1
```

Largest 8 diffraction maxima, low angle first, 2θ from 5° to 70°:
Position (°2θ)  I/Imax
8.4  74.6
18.7  28.0
28.8  33.8
34.6  57.7
35.0  100.0
37.0  45.0
38.7  35.9
45.9  37.3

The following is a simulated PXRD pattern of Hf2ScCd. It was derived from a crystal structure in Alexandria, relaxed with PBE, using Cu Kα (λ = 1.5418 Å).
Kinematic intensities with the Lorentz-polarization factor, no thermal factor.

Structure:
```
data_Hf2ScCd
_chemical_formula_sum 'Hf2 Sc1 Cd1'
_cell_length_a 4.383
_cell_length_b 4.383
_cell_length_c 4.550
_cell_angle_alpha 90.00
_cell_angle_beta 90.00
_cell_angle_gamma 90.00
_symmetry_space_group_name_H-M 'P 1'
_symmetry_Int_Tables_number 1
loop_
_symmetry_equiv_pos_as_xyz
'x,y,z'
loop_
_atom_site_label
_atom_site_type_symbol
_atom_site_fract_x
_atom_site_fract_y
_atom_site_fract_z
_atom_site_occupancy
Hf1 Hf 0.000 0.500 0.000 1
Hf2 Hf 0.500 0.000 0.000 1
Sc1 Sc 0.000 0.000 0.500 1
Cd1 Cd 0.500 0.500 0.500 1
```

Largest 8 diffraction maxima, low angle first, 2θ from 5° to 70°:
Position (°2θ)  I/Imax
19.5  14.5
28.8  11.5
35.0  100.0
39.6  17.8
41.2  31.9
58.5  22.5
59.7  10.6
68.9  13.6

The following is a simulated PXRD pattern of Hf2Sc3Cd. It was derived from a crystal structure in Alexandria, relaxed with PBE, using Cu Kα (λ = 1.5418 Å).
Kinematic intensities with the Lorentz-polarization factor, no thermal factor.

Structure:
```
data_Hf2Sc3Cd
_chemical_formula_sum 'Hf2 Sc3 Cd1'
_cell_length_a 3.215
_cell_length_b 3.215
_cell_length_c 13.238
_cell_angle_alpha 90.00
_cell_angle_beta 90.00
_cell_angle_gamma 90.00
_symmetry_space_group_name_H-M 'P 1'
_symmetry_Int_Tables_number 1
loop_
_symmetry_equiv_pos_as_xyz
'x,y,z'
loop_
_atom_site_label
_atom_site_type_symbol
_atom_site_fract_x
_atom_site_fract_y
_atom_site_fract_z
_atom_site_occupancy
Hf1 Hf 0.000 0.000 0.174 1
Hf2 Hf 0.000 0.000 0.826 1
Sc1 Sc 0.500 0.500 0.000 1
Sc2 Sc 0.500 0.500 0.336 1
Sc3 Sc 0.500 0.500 0.664 1
Cd1 Cd 0.000 0.000 0.500 1
```

Largest 8 diffraction maxima, low angle first, 2θ from 5° to 70°:
Position (°2θ)  I/Imax
20.1  28.0
27.7  26.8
34.5  100.0
39.6  34.3
40.9  15.0
44.8  15.0
58.3  20.7
68.7  25.8